Diffraction record for BaLi2FeO4. The X-ray diffraction stick pattern is simulated, not measured: it uses a structure optimized by DFT (GGA+U) and Cu Kα (weighted mean of Kα1 and Kα2).

Largest 6 diffraction maxima, in order of falling intensity, 2θ = 10–80°:
2θ = 23.13°, intensity 1000
2θ = 33.70°, intensity 870
2θ = 41.27°, intensity 461
2θ = 59.30°, intensity 343
2θ = 24.18°, intensity 286
2θ = 32.93°, intensity 258

Structural model:
```
data_BaLi2FeO4
_cell_length_a 5.4392
_cell_length_b 5.4392
_cell_length_c 7.3623
_cell_angle_alpha 90.00
_cell_angle_beta 90.00
_cell_angle_gamma 90.00
_space_group_name_H-M_alt 'I -4 2 m'
_space_group_IT_number 121
_space_group_name_Hall 'I -4 2'
loop_
_atom_site_label
_atom_site_type_symbol
_atom_site_fract_x
_atom_site_fract_y
_atom_site_fract_z
_atom_site_occupancy
Ba1 Ba 0.0000 0.0000 0.0000 1
Li1 Li 0.0000 0.5000 0.2500 1
Fe1 Fe 0.0000 0.0000 0.5000 1
O1 O 0.1885 0.1885 0.3429 1
```